Record 1
TcP4: computed X-ray powder pattern (Cu Kα (λ = 1.5418 Å)), based on a GGA-PBE-relaxed structure.
Kinematic intensities with the Lorentz-polarization factor, no thermal factor.

Structural model:
```
data_TcP4
_cell_length_a 6.2750
_cell_length_b 9.2712
_cell_length_c 10.9097
_cell_angle_alpha 90.00
_cell_angle_beta 90.00
_cell_angle_gamma 90.00
_symmetry_space_group_name_H-M 'P b c a'
_symmetry_Int_Tables_number 61
_symmetry_space_group_name_Hall '-P 2ac 2ab'
loop_
_atom_site_label
_atom_site_type_symbol
_atom_site_fract_x
_atom_site_fract_y
_atom_site_fract_z
Tc1 Tc 0.1213 0.1093 0.0754
P1 P 0.9998 0.2082 0.4310
P2 P 0.0603 0.2185 0.7358
P3 P 0.1895 0.5533 0.7383
P4 P 0.2435 0.5435 0.4187
```

Peak list (6 most intense, 2θ from 15° to 90°, in order of falling intensity)
2θ 31.25, intensity 100.0
2θ 18.92, intensity 44.8
2θ 25.24, intensity 23.6
2θ 30.07, intensity 21.8
2θ 34.52, intensity 20.2
2θ 46.72, intensity 18.2

=====

Record 2
ThTc3P2: computed X-ray powder pattern (Cu Kα (λ = 1.5418 Å)), based on a GGA-PBE-relaxed structure.
Kinematic intensities with the Lorentz-polarization factor, no thermal factor.

Structural model:
```
data_ThTc3P2
_cell_length_a 15.9639
_cell_length_b 4.0742
_cell_length_c 9.5645
_cell_angle_alpha 90.00
_cell_angle_beta 106.72
_cell_angle_gamma 90.00
_symmetry_space_group_name_H-M 'C 1 2/m 1'
_symmetry_Int_Tables_number 12
_symmetry_space_group_name_Hall '-C 2y'
loop_
_atom_site_label
_atom_site_type_symbol
_atom_site_fract_x
_atom_site_fract_y
_atom_site_fract_z
Th1 Th 0.0000 0.0000 0.0000
Th2 Th 0.1608 0.0000 0.7091
Tc1 Tc 0.0000 0.5000 0.5000
Tc2 Tc 0.0396 0.0000 0.3649
Tc3 Tc 0.1175 0.5000 0.2014
Tc4 Tc 0.1794 0.5000 0.9740
Tc5 Tc 0.2095 0.0000 0.3868
P1 P 0.0381 0.5000 0.7870
P2 P 0.1469 0.5000 0.4588
P3 P 0.1980 0.0000 0.1300
```

Peak list (6 most intense, 2θ from 15° to 90°, in order of falling intensity)
2θ 35.86, intensity 100.0
2θ 44.46, intensity 55.9
2θ 31.37, intensity 43.1
2θ 35.76, intensity 29.9
2θ 35.22, intensity 25.2
2θ 37.19, intensity 24.8